For AcPd2O4, a GGA-PBE-relaxed structure gives the theoretical XRD peak list in this record (CuKα).

Largest 10 diffraction maxima, most intense first, 10° ≤ 2θ ≤ 80°:
d/Å, 2theta, I/Imax
3.429, 25.98, 100
3.988, 22.29, 53
2.922, 30.59, 52
2.365, 38.05, 40
2.143, 42.17, 35
1.994, 45.49, 33
1.907, 47.68, 24
2.972, 30.07, 24
2.118, 42.70, 23
2.559, 35.06, 20

a b c (Å): 8.2473 7.3355 6.0399
angles (deg): 75.44 59.42 45.14
Fractional coordinates of all 14 atoms:
Ac 0.1250 0.1250 0.1250
Ac 0.8750 0.8750 0.8750
Pd 0.0000 0.5000 0.5000
Pd 0.5000 0.0000 0.5000
Pd 0.5000 0.5000 0.0000
Pd 0.5000 0.5000 0.5000
O 0.1611 0.3559 0.7345
O 0.2485 0.7345 0.3559
O 0.2655 0.7515 0.8389
O 0.3559 0.1611 0.2485
O 0.6441 0.8389 0.7515
O 0.7345 0.2485 0.1611
O 0.7515 0.2655 0.6441
O 0.8389 0.6441 0.2655

=====

For La2PrSm5Sc, a GGA-PBE-relaxed structure gives the theoretical XRD peak list in this record (CuKα).

Largest 10 diffraction maxima, most intense first, 10° ≤ 2θ ≤ 80°:
d/Å, 2theta, I/Imax
2.850, 31.38, 100
2.748, 32.58, 51
3.332, 26.75, 38
1.871, 48.67, 21
1.605, 57.41, 18
2.553, 35.15, 16
2.869, 31.17, 15
1.542, 59.98, 14
1.944, 46.73, 12
1.547, 59.79, 9

a b c (Å): 11.3425 11.3425 10.2125
angles (deg): 90.00 90.00 151.97
Fractional coordinates of all 18 atoms:
La 0.1181 0.8819 0.5106
La 0.1181 0.8819 0.9894
La 0.8819 0.1181 0.0106
La 0.8819 0.1181 0.4894
Pr 0.3982 0.6018 0.7500
Pr 0.6018 0.3982 0.2500
Sm 0.0007 0.9993 0.7500
Sm 0.2769 0.7231 0.5622
Sm 0.2769 0.7231 0.9378
Sm 0.3742 0.6258 0.2500
Sm 0.5000 0.5000 0.0000
Sm 0.5000 0.5000 0.5000
Sm 0.6258 0.3742 0.7500
Sm 0.7231 0.2769 0.0622
Sm 0.7231 0.2769 0.4378
Sm 0.9993 0.0007 0.2500
Sc 0.2162 0.7838 0.2500
Sc 0.7838 0.2162 0.7500

=====

For ErIrCl6, a GGA-PBE-relaxed structure gives the theoretical XRD peak list in this record (CuKα).

Largest 10 diffraction maxima, most intense first, 10° ≤ 2θ ≤ 80°:
d/Å, 2theta, I/Imax
4.594, 19.32, 100
3.362, 26.51, 42
2.112, 42.83, 41
2.002, 45.30, 21
2.596, 34.56, 20
1.816, 50.23, 18
3.146, 28.37, 18
1.855, 49.11, 18
2.297, 39.22, 17
2.754, 32.51, 14

a b c (Å): 6.7569 6.7569 6.7569
angles (deg): 55.49 55.49 55.49
Fractional coordinates of all 8 atoms:
Er 0.0000 0.0000 0.0000
Ir 0.5000 0.5000 0.5000
Cl 0.1104 0.7282 0.4229
Cl 0.2718 0.5771 0.8896
Cl 0.4229 0.1104 0.7282
Cl 0.5771 0.8896 0.2718
Cl 0.7282 0.4229 0.1104
Cl 0.8896 0.2718 0.5771

=====

For Ba4Ta3HgO12, a GGA-PBE-relaxed structure gives the theoretical XRD peak list in this record (CuKα).

Largest 9 diffraction maxima, most intense first, 10° ≤ 2θ ≤ 80°:
d/Å, 2theta, I/Imax
2.986, 29.92, 100
1.724, 53.12, 41
2.112, 42.83, 28
1.335, 70.52, 18
1.493, 62.17, 18
4.223, 21.04, 6
1.219, 78.45, 6
1.889, 48.18, 3
1.408, 66.41, 1

a b c (Å): 7.3145 7.3145 7.3145
angles (deg): 109.47 109.47 109.47
Fractional coordinates of all 20 atoms:
Ba 0.0000 0.0000 0.5000
Ba 0.0000 0.5000 0.0000
Ba 0.5000 0.0000 0.0000
Ba 0.5000 0.5000 0.5000
Ta 0.0000 0.5000 0.5000
Ta 0.5000 0.0000 0.5000
Ta 0.5000 0.5000 0.0000
Hg 0.0000 0.0000 0.0000
O 0.0000 0.2717 0.2717
O 0.0000 0.7283 0.7283
O 0.2500 0.5000 0.7500
O 0.2500 0.7500 0.5000
O 0.2717 0.0000 0.2717
O 0.2717 0.2717 0.0000
O 0.5000 0.2500 0.7500
O 0.5000 0.7500 0.2500
O 0.7283 0.0000 0.7283
O 0.7283 0.7283 0.0000
O 0.7500 0.2500 0.5000
O 0.7500 0.5000 0.2500

=====

Q: Which formula does entry 4 have?
A: Ba4Ta3HgO12